Entry 1:
Calculated X-ray powder pattern of In4Hg2Bi3Pb3 for Cu Ka, from a cell relaxed with PBE.

Cell and atoms:
abc: 15.1072 15.1072 4.7882
angles: 98.25 98.25 19.21
Element x y z (fractional)
In1 0.1638 0.1638 0.1638
In2 0.2478 0.2478 0.7557
In3 0.7522 0.7522 0.2443
In4 0.8362 0.8362 0.8362
Hg1 0.0861 0.0861 0.5856
Hg2 0.9139 0.9139 0.4144
Bi1 0.3248 0.3248 0.3341
Bi2 0.5000 0.5000 0.5000
Bi3 0.6752 0.6752 0.6659
Pb1 0.0000 0.0000 0.0000
Pb2 0.4142 0.4142 0.9157
Pb3 0.5858 0.5858 0.0843

Top 10 peaks for 2θ = 10–90°, by angle:
2θ 31.39, rel. 100.0
2θ 31.73, rel. 95.6
2θ 35.61, rel. 36.6
2θ 36.59, rel. 30.7
2θ 37.57, rel. 31.5
2θ 51.98, rel. 22.6
2θ 52.73, rel. 24.0
2θ 61.34, rel. 15.1
2θ 61.54, rel. 14.7
2θ 63.77, rel. 13.6

Entry 2:
Calculated X-ray powder pattern of Dy2Ge3Rh2 for Cu Ka, from a cell relaxed with PBE.

Cell and atoms:
abc: 5.4758 5.4758 6.6909
angles: 112.01 112.01 45.45
Element x y z (fractional)
Dy1 0.1521 0.1521 0.2772
Dy2 0.8479 0.8479 0.7228
Ge1 0.3815 0.3815 0.0517
Ge2 0.5000 0.5000 0.5000
Ge3 0.6185 0.6185 0.9483
Rh1 0.1333 0.1333 0.7210
Rh2 0.8667 0.8667 0.2790

Top 10 peaks for 2θ = 10–90°, by angle:
2θ 29.21, rel. 27.4
2θ 29.46, rel. 28.6
2θ 34.22, rel. 100.0
2θ 36.10, rel. 72.3
2θ 38.14, rel. 25.9
2θ 38.42, rel. 81.9
2θ 39.03, rel. 38.2
2θ 40.69, rel. 60.6
2θ 42.75, rel. 60.6
2θ 68.75, rel. 29.5